(1)
# Ac4In2N
Simulated XRD peak list, a wavelength of 1.5418 Å. Input: a crystal structure in Alexandria, relaxed with PBE.
Kinematic intensities with the Lorentz-polarization factor, no thermal factor.

Main lines, in order of falling intensity (5° ≤ 2θ ≤ 70°):
- 29.3 deg, d = 3.045 Å, I 100
- 30.8 deg, d = 2.901 Å, I 92
- 33.9 deg, d = 2.645 Å, I 86
- 16.7 deg, d = 5.301 Å, I 72
- 33.1 deg, d = 2.709 Å, I 50
- 24.7 deg, d = 3.599 Å, I 48
- 57.7 deg, d = 1.597 Å, I 47
- 27.7 deg, d = 3.221 Å, I 39
- 6.9 deg, d = 12.884 Å, I 34
- 42.6 deg, d = 2.123 Å, I 28

Crystal structure
```
14
Lattice="5.4170 0.0000 0.0000 0.0000 25.7689 0.0000 0.0000 0.0000 3.7477" Properties=species:S:1:pos:R:3 pbc="T T T"
Ac 0.0000 1.7186 0.0000
Ac 0.0000 5.2281 1.8739
Ac 0.0000 20.5409 1.8739
Ac 0.0000 24.0503 0.0000
Ac 2.7085 7.6564 1.8739
Ac 2.7085 11.1659 0.0000
Ac 2.7085 14.6031 0.0000
Ac 2.7085 18.1125 1.8739
In 0.0000 8.7316 0.0000
In 0.0000 17.0373 0.0000
In 2.7085 4.1528 0.0000
In 2.7085 21.6161 0.0000
N 0.0000 0.0000 1.8739
N 2.7085 12.8845 1.8739
```

---

(2)
# Pm3Ag2Pb
Simulated XRD peak list, a wavelength of 1.5418 Å. Input: a crystal structure in Alexandria, relaxed with PBE.
Kinematic intensities with the Lorentz-polarization factor, no thermal factor.

Main lines, in order of falling intensity (5° ≤ 2θ ≤ 70°):
- 32.9 deg, d = 2.723 Å, I 100
- 34.8 deg, d = 2.578 Å, I 45
- 61.2 deg, d = 1.515 Å, I 33
- 57.5 deg, d = 1.603 Å, I 17
- 50.0 deg, d = 1.823 Å, I 16
- 69.0 deg, d = 1.361 Å, I 10
- 44.2 deg, d = 2.047 Å, I 9
- 28.5 deg, d = 3.135 Å, I 6
- 51.4 deg, d = 1.778 Å, I 4
- 25.5 deg, d = 3.495 Å, I 3

Crystal structure
```
6
Lattice="3.6457 0.0000 0.0000 0.0000 3.6457 0.0000 0.0000 0.0000 12.2815" Properties=species:S:1:pos:R:3 pbc="T T T"
Pm 0.0000 0.0000 0.0000
Pm 0.0000 0.0000 3.8733
Pm 0.0000 0.0000 8.4082
Ag 1.8228 1.8228 1.8822
Ag 1.8228 1.8228 10.3993
Pb 1.8228 1.8228 6.1408
```

---

(3)
# AgPt2F11
Simulated XRD peak list, a wavelength of 1.5418 Å. Input: a crystal structure in Alexandria, relaxed with PBE.
Kinematic intensities with the Lorentz-polarization factor, no thermal factor.

Main lines, in order of falling intensity (5° ≤ 2θ ≤ 70°):
- 23.3 deg, d = 3.812 Å, I 100
- 23.5 deg, d = 3.791 Å, I 99
- 21.9 deg, d = 4.053 Å, I 84
- 17.0 deg, d = 5.206 Å, I 59
- 45.6 deg, d = 1.989 Å, I 53
- 33.9 deg, d = 2.645 Å, I 47
- 25.9 deg, d = 3.443 Å, I 34
- 26.0 deg, d = 3.423 Å, I 33
- 30.8 deg, d = 2.900 Å, I 24
- 31.1 deg, d = 2.876 Å, I 23

Crystal structure
```
28
Lattice="-4.5421 4.5896 5.2060 4.5421 -4.5896 5.2060 4.5421 4.5896 -5.2060" Properties=species:S:1:pos:R:3 pbc="T T T"
Ag 0.0000 0.0000 2.6030
Ag 0.0000 0.0000 7.8089
Pt 5.9810 1.4585 0.0000
Pt 1.4389 3.1311 0.0000
Pt 3.1032 1.4585 5.2060
Pt -1.4389 3.1311 5.2060
F 4.5421 0.0000 0.0000
F 2.1242 -0.5073 1.3718
F 5.0250 -2.4316 3.8358
F 5.0250 2.4316 -1.3701
F 6.9600 0.5073 1.3718
F 2.7562 1.7893 0.0000
F 2.7562 -1.7893 5.2060
F 2.4179 4.0824 -1.3718
F 0.4829 2.1580 1.3701
F 5.0250 2.4316 1.3701
F 2.1242 0.5073 3.8341
F 0.0000 4.5896 0.0000
F 2.4179 4.0824 1.3718
F -0.4829 2.1580 3.8358
F 4.0592 2.4316 3.8358
F 2.1242 0.5073 6.5778
F 1.7859 6.3789 0.0000
F 1.7859 2.8003 5.2060
F -2.4179 4.0824 3.8341
F -0.4829 2.1580 6.5761
F -0.4829 7.0212 1.3701
F 2.4179 5.0969 3.8341
```

---

(4)
# CsNa2SbH
Simulated XRD peak list, a wavelength of 1.5418 Å. Input: a crystal structure in Alexandria, relaxed with PBE.
Kinematic intensities with the Lorentz-polarization factor, no thermal factor.

Main lines, in order of falling intensity (5° ≤ 2θ ≤ 70°):
- 10.7 deg, d = 8.250 Å, I 100
- 30.5 deg, d = 2.928 Å, I 78
- 27.5 deg, d = 3.245 Å, I 72
- 20.0 deg, d = 4.434 Å, I 69
- 31.6 deg, d = 2.834 Å, I 49
- 25.3 deg, d = 3.526 Å, I 48
- 28.5 deg, d = 3.132 Å, I 42
- 43.8 deg, d = 2.065 Å, I 37
- 47.2 deg, d = 1.927 Å, I 31
- 34.1 deg, d = 2.629 Å, I 29

Crystal structure
```
5
Lattice="3.9000 0.0000 0.0000 0.0000 5.2577 0.0000 0.0000 0.0000 8.2503" Properties=species:S:1:pos:R:3 pbc="T T T"
Cs 0.0000 0.0000 0.0000
Na 0.0000 2.6288 4.5028
Na 1.9500 0.0000 3.8092
Sb 1.9500 2.6288 2.0576
H 0.0000 0.0000 5.1442
```